This entry pairs a crystal structure of Ac2SmMo2N6 with its theoretical powder diffraction line list. Radiation: CuKα. Structure: a structure optimized by DFT (GGA-PBE).

Atomic structure:
Cell: 5.9225 5.9225 19.0783 Å, 90.00 90.00 120.00°
Space group R-3m (No. 166, hexagonal axes)
Asymmetric unit:
Ac  0.0000  0.0000  0.2050 (multiplicity 6)
Sm  0.0000  0.0000  0.0000 (multiplicity 3)
Mo  0.0000  0.0000  0.3999 (multiplicity 6)
N  0.0057  0.5028  0.7625 (multiplicity 18)

Most intense lines, 10 to 90 degrees two-theta, low angle first:
2θ/deg	intensity	index
29.17	100	0 1 5
30.18	89	1 1 0
42.47	40	2 0 5
51.08	22	1 0 10
52.98	39	1 2 5
53.60	18	3 0 0
60.48	11	0 2 10
62.75	14	2 2 0
69.07	18	2 1 10
70.67	16	3 1 5



This entry pairs a crystal structure of Ac3Th3MoN8 with its theoretical powder diffraction line list. Radiation: CuKα. Structure: a structure optimized by DFT (GGA-PBE).

Atomic structure:
Cell: 7.1781 7.1781 18.4078 Å, 90.00 90.00 120.00°
Space group R-3m (No. 166, hexagonal axes)
Asymmetric unit:
Ac  0.0000  0.5000  0.0000 (multiplicity 9)
Th  0.0000  0.5000  0.5000 (multiplicity 9)
Mo  0.0000  0.0000  0.5000 (multiplicity 3)
N  0.0000  0.0000  0.2389 (multiplicity 6)
N  0.0411  0.5205  0.2305 (multiplicity 18)

Most intense lines, 10 to 90 degrees two-theta, low angle first:
2θ/deg	intensity	index
17.21	25	0 1 2
29.11	39	0 0 6
30.35	100	2 0 2
34.83	93	0 2 4
49.27	34	2 0 8
50.88	32	2 2 0
58.25	18	0 2 10
59.69	33	2 2 6
60.39	22	0 0 12
82.80	28	2 2 12